# 1
The following is a computed powder diffractogram of LiMn2P3O12. It was derived from a cell relaxed with GGA+U, using Cu Kα, 1.54184 Å.

Crystal structure
```
LiMn2P3O12
1.0
7.282 -4.215 0.000
7.282 4.215 0.000
-4.866 0.000 6.881
Li Mn P O
2 4 6 24
Direct
0.000 0.500 0.000 Li
0.500 0.000 0.500 Li
0.139 0.639 0.858 Mn
0.361 0.861 0.642 Mn
0.639 0.139 0.358 Mn
0.861 0.361 0.142 Mn
0.037 0.963 0.250 P
0.251 0.461 0.464 P
0.461 0.251 0.964 P
0.539 0.749 0.036 P
0.749 0.539 0.536 P
0.963 0.037 0.750 P
0.007 0.131 0.201 O
0.055 0.767 0.079 O
0.082 0.446 0.266 O
0.131 0.007 0.701 O
0.194 0.488 0.625 O
0.233 0.945 0.421 O
0.264 0.421 0.947 O
0.305 0.629 0.502 O
0.371 0.695 0.998 O
0.421 0.264 0.447 O
0.446 0.082 0.766 O
0.488 0.194 0.125 O
0.512 0.806 0.875 O
0.554 0.918 0.234 O
0.579 0.736 0.553 O
0.629 0.305 0.002 O
0.695 0.371 0.498 O
0.736 0.579 0.053 O
0.767 0.055 0.579 O
0.806 0.512 0.375 O
0.869 0.993 0.299 O
0.918 0.554 0.734 O
0.945 0.233 0.921 O
0.993 0.869 0.799 O
```

The 10 most intense peaks (10° ≤ 2θ ≤ 90°), low angle first:
14.87°, rel. 20; 21.10°, rel. 94; 24.79°, rel. 100; 30.01°, rel. 41; 32.76°, rel. 19; 33.66°, rel. 27; 36.96°, rel. 32; 48.30°, rel. 18; 50.82°, rel. 14; 57.92°, rel. 30

---

# 2
The following is a computed powder diffractogram of LiMnPO4. It was derived from a cell relaxed with GGA+U, using Cu Kα, 1.54184 Å.

Crystal structure
```
LiMnPO4
1.0
6.012 0.000 0.000
1.293 6.554 0.000
1.274 2.632 9.180
Li Mn P O
4 4 4 16
Direct
0.068 0.338 0.179 Li
0.098 0.805 0.219 Li
0.902 0.195 0.781 Li
0.932 0.662 0.821 Li
0.295 0.646 0.570 Mn
0.486 0.934 0.783 Mn
0.514 0.066 0.217 Mn
0.705 0.354 0.430 Mn
0.211 0.183 0.512 P
0.337 0.293 0.887 P
0.663 0.707 0.113 P
0.789 0.817 0.488 P
0.033 0.737 0.431 O
0.190 0.135 0.868 O
0.218 0.185 0.350 O
0.238 0.524 0.800 O
0.290 0.953 0.609 O
0.326 0.289 0.050 O
0.373 0.330 0.530 O
0.417 0.783 0.171 O
0.583 0.217 0.829 O
0.627 0.670 0.470 O
0.674 0.711 0.950 O
0.710 0.047 0.391 O
0.762 0.476 0.200 O
0.782 0.815 0.650 O
0.810 0.865 0.132 O
0.967 0.263 0.569 O
```

The 10 most intense peaks (10° ≤ 2θ ≤ 90°), low angle first:
15.07°, rel. 100; 18.57°, rel. 64; 18.89°, rel. 50; 27.00°, rel. 54; 28.49°, rel. 88; 29.18°, rel. 49; 29.65°, rel. 31; 31.44°, rel. 47; 31.86°, rel. 34; 37.65°, rel. 34